Starting from a crystal structure in the Materials Project, relaxed with PBE, the XRD peak list of CaMg2 was simulated for a wavelength of 1.5418 Å.
Kinematic intensities with the Lorentz-polarization factor, no thermal factor.

Atomic structure:
Cell: 6.2646 6.2646 10.0074 Å, 90.00 90.00 120.00°
Atoms (fractional coordinates):
1 Ca 0.3333 0.6667 0.0620
2 Ca 0.3333 0.6667 0.4380
3 Ca 0.6667 0.3333 0.5620
4 Ca 0.6667 0.3333 0.9380
5 Mg 0.0000 0.0000 0.0000
6 Mg 0.0000 0.0000 0.5000
7 Mg 0.1689 0.3378 0.7500
8 Mg 0.1689 0.8311 0.7500
9 Mg 0.3378 0.1689 0.2500
10 Mg 0.6622 0.8311 0.7500
11 Mg 0.8311 0.1689 0.2500
12 Mg 0.8311 0.6622 0.2500

Principal peaks in the range 10 to 80 degrees two-theta, by angle:
2θ = 28.50°, d = 3.132 Å, I = 462
2θ = 31.48°, d = 2.842 Å, I = 799
2θ = 33.02°, d = 2.713 Å, I = 130
2θ = 33.76°, d = 2.655 Å, I = 1000
2θ = 34.25°, d = 2.618 Å, I = 690
2θ = 52.37°, d = 1.747 Å, I = 323
2θ = 53.91°, d = 1.701 Å, I = 240
2θ = 57.20°, d = 1.611 Å, I = 289
2θ = 58.98°, d = 1.566 Å, I = 253
2θ = 68.40°, d = 1.372 Å, I = 141

=====

Starting from a crystal structure in the Materials Project, relaxed with PBE, the XRD peak list of CaMg2 was simulated for a wavelength of 1.5418 Å.
Kinematic intensities with the Lorentz-polarization factor, no thermal factor.

Atomic structure:
Cell: 3.4414 17.9128 5.6173 Å, 90.00 90.00 90.00°
Atoms (fractional coordinates):
1 Ca 0.0000 0.2135 0.2500
2 Ca 0.0000 0.7865 0.7500
3 Ca 0.5000 0.2865 0.7500
4 Ca 0.5000 0.7135 0.2500
5 Mg 0.0000 0.1049 0.7500
6 Mg 0.0000 0.4533 0.7500
7 Mg 0.0000 0.5467 0.2500
8 Mg 0.0000 0.8951 0.2500
9 Mg 0.5000 0.0467 0.2500
10 Mg 0.5000 0.3951 0.2500
11 Mg 0.5000 0.6049 0.7500
12 Mg 0.5000 0.9533 0.7500

Principal peaks in the range 10 to 80 degrees two-theta, by angle:
2θ = 25.44°, d = 3.502 Å, I = 59
2θ = 29.96°, d = 2.982 Å, I = 251
2θ = 30.88°, d = 2.896 Å, I = 45
2θ = 31.86°, d = 2.809 Å, I = 280
2θ = 34.03°, d = 2.635 Å, I = 1000
2θ = 44.30°, d = 2.045 Å, I = 161
2θ = 53.19°, d = 1.722 Å, I = 156
2θ = 58.17°, d = 1.586 Å, I = 192
2θ = 63.35°, d = 1.468 Å, I = 177
2θ = 64.68°, d = 1.441 Å, I = 124

=====

Starting from a crystal structure in the Materials Project, relaxed with PBE, the XRD peak list of CaMg5 was simulated for a wavelength of 1.5418 Å.
Kinematic intensities with the Lorentz-polarization factor, no thermal factor.

Atomic structure:
Cell: 5.7061 5.7061 5.3989 Å, 90.00 90.00 120.00°
Atoms (fractional coordinates):
1 Ca 0.0000 0.0000 0.0000
2 Mg 0.0000 0.6418 0.5000
3 Mg 0.3333 0.6667 0.0000
4 Mg 0.3582 0.3582 0.5000
5 Mg 0.6418 0.0000 0.5000
6 Mg 0.6667 0.3333 0.0000

Principal peaks in the range 10 to 80 degrees two-theta, by angle:
2θ = 24.42°, d = 3.645 Å, I = 71
2θ = 31.35°, d = 2.853 Å, I = 245
2θ = 33.19°, d = 2.699 Å, I = 275
2θ = 35.59°, d = 2.522 Å, I = 1000
2θ = 46.30°, d = 1.961 Å, I = 156
2θ = 55.81°, d = 1.647 Å, I = 161
2θ = 60.86°, d = 1.522 Å, I = 192
2θ = 66.50°, d = 1.406 Å, I = 183
2θ = 67.97°, d = 1.379 Å, I = 125
2θ = 75.36°, d = 1.261 Å, I = 32

=====

Starting from a crystal structure in the Materials Project, relaxed with PBE, the XRD peak list of CaMg was simulated for a wavelength of 1.5418 Å.
Kinematic intensities with the Lorentz-polarization factor, no thermal factor.

Atomic structure:
Cell: 4.0362 4.0362 3.8406 Å, 90.00 90.00 90.00°
Atoms (fractional coordinates):
1 Ca 0.0000 0.0000 0.0000
2 Mg 0.5000 0.5000 0.5000

Principal peaks in the range 10 to 80 degrees two-theta, by angle:
2θ = 22.02°, d = 4.036 Å, I = 84
2θ = 31.34°, d = 2.854 Å, I = 538
2θ = 32.17°, d = 2.782 Å, I = 1000
2θ = 44.92°, d = 2.018 Å, I = 186
2θ = 47.34°, d = 1.920 Å, I = 79
2θ = 56.32°, d = 1.634 Å, I = 360
2θ = 57.88°, d = 1.593 Å, I = 165
2θ = 67.31°, d = 1.391 Å, I = 100
2θ = 74.31°, d = 1.276 Å, I = 73
2θ = 74.77°, d = 1.270 Å, I = 72

=====

Starting from a crystal structure in the Materials Project, relaxed with PBE, the XRD peak list of CaMg2 was simulated for a wavelength of 1.5418 Å.
Kinematic intensities with the Lorentz-polarization factor, no thermal factor.

Atomic structure:
Cell: 3.8911 3.8911 11.2553 Å, 90.00 90.00 90.00°
Atoms (fractional coordinates):
1 Ca 0.0000 0.0000 0.0000
2 Ca 0.5000 0.5000 0.5000
3 Mg 0.0000 0.0000 0.3170
4 Mg 0.0000 0.0000 0.6830
5 Mg 0.5000 0.5000 0.1830
6 Mg 0.5000 0.5000 0.8170

Principal peaks in the range 10 to 80 degrees two-theta, by angle:
2θ = 24.20°, d = 3.678 Å, I = 130
2θ = 32.54°, d = 2.751 Å, I = 556
2θ = 33.17°, d = 2.701 Å, I = 1000
2θ = 46.69°, d = 1.946 Å, I = 191
2θ = 48.53°, d = 1.876 Å, I = 68
2θ = 58.46°, d = 1.579 Å, I = 352
2θ = 59.66°, d = 1.550 Å, I = 140
2θ = 69.62°, d = 1.350 Å, I = 85
2θ = 77.59°, d = 1.230 Å, I = 75
2θ = 77.94°, d = 1.226 Å, I = 70

=====

Starting from a crystal structure in the Materials Project, relaxed with PBE, the XRD peak list of CaMg was simulated for a wavelength of 1.5418 Å.
Kinematic intensities with the Lorentz-polarization factor, no thermal factor.

Atomic structure:
Cell: 3.6874 3.6874 16.7817 Å, 90.00 90.00 120.00°
Atoms (fractional coordinates):
1 Ca 0.0000 0.0000 0.0000
2 Ca 0.6667 0.3333 0.1942
3 Ca 0.6667 0.3333 0.8058
4 Mg 0.0000 0.0000 0.3576
5 Mg 0.0000 0.0000 0.6424
6 Mg 0.6667 0.3333 0.5000

Principal peaks in the range 10 to 80 degrees two-theta, by angle:
2θ = 26.56°, d = 3.356 Å, I = 136
2θ = 27.94°, d = 3.193 Å, I = 299
2θ = 29.94°, d = 2.985 Å, I = 174
2θ = 32.00°, d = 2.797 Å, I = 131
2θ = 32.28°, d = 2.773 Å, I = 1000
2θ = 42.99°, d = 2.104 Å, I = 83
2θ = 49.43°, d = 1.844 Å, I = 218
2θ = 52.17°, d = 1.753 Å, I = 110
2θ = 60.11°, d = 1.539 Å, I = 113
2θ = 60.28°, d = 1.535 Å, I = 145

=====

Starting from a crystal structure in the Materials Project, relaxed with PBE, the XRD peak list of CaMg3 was simulated for a wavelength of 1.5418 Å.
Kinematic intensities with the Lorentz-polarization factor, no thermal factor.

Atomic structure:
Cell: 5.4753 5.4753 6.9833 Å, 90.00 90.00 90.00°
Atoms (fractional coordinates):
1 Ca 0.0000 0.0000 0.0000
2 Ca 0.5000 0.5000 0.5000
3 Mg 0.0000 0.0000 0.5000
4 Mg 0.0000 0.5000 0.2500
5 Mg 0.0000 0.5000 0.7500
6 Mg 0.5000 0.0000 0.2500
7 Mg 0.5000 0.0000 0.7500
8 Mg 0.5000 0.5000 0.0000

Principal peaks in the range 10 to 80 degrees two-theta, by angle:
2θ = 20.61°, d = 4.309 Å, I = 79
2θ = 32.71°, d = 2.738 Å, I = 585
2θ = 34.59°, d = 2.593 Å, I = 1000
2θ = 46.94°, d = 1.936 Å, I = 201
2θ = 52.41°, d = 1.746 Å, I = 71
2θ = 59.60°, d = 1.551 Å, I = 376
2θ = 63.17°, d = 1.472 Å, I = 156
2θ = 72.97°, d = 1.296 Å, I = 98
2θ = 78.05°, d = 1.224 Å, I = 79
2θ = 79.12°, d = 1.210 Å, I = 76

=====

Starting from a crystal structure in the Materials Project, relaxed with PBE, the XRD peak list of CaMg2 was simulated for a wavelength of 1.5418 Å.
Kinematic intensities with the Lorentz-polarization factor, no thermal factor.

Atomic structure:
Cell: 3.4833 3.4833 16.6861 Å, 90.00 90.00 120.00°
Atoms (fractional coordinates):
1 Ca 0.0000 0.0000 0.1726
2 Ca 0.0000 0.0000 0.8274
3 Mg 0.0000 0.0000 0.5000
4 Mg 0.6667 0.3333 0.0000
5 Mg 0.6667 0.3333 0.3450
6 Mg 0.6667 0.3333 0.6550

Principal peaks in the range 10 to 80 degrees two-theta, by angle:
2θ = 15.93°, d = 5.562 Å, I = 53
2θ = 29.61°, d = 3.017 Å, I = 266
2θ = 32.19°, d = 2.781 Å, I = 238
2θ = 33.80°, d = 2.652 Å, I = 1000
2θ = 44.30°, d = 2.045 Å, I = 155
2θ = 52.54°, d = 1.742 Å, I = 176
2θ = 58.43°, d = 1.580 Å, I = 160
2θ = 62.97°, d = 1.476 Å, I = 182
2θ = 63.95°, d = 1.456 Å, I = 138
2θ = 71.11°, d = 1.326 Å, I = 34

=====

Starting from a crystal structure in the Materials Project, relaxed with PBE, the XRD peak list of CaMg3 was simulated for a wavelength of 1.5418 Å.
Kinematic intensities with the Lorentz-polarization factor, no thermal factor.

Atomic structure:
Cell: 4.7616 4.7616 4.7616 Å, 90.00 90.00 90.00°
Atoms (fractional coordinates):
1 Ca 0.0000 0.0000 0.0000
2 Mg 0.0000 0.5000 0.5000
3 Mg 0.5000 0.0000 0.5000
4 Mg 0.5000 0.5000 0.0000

Principal peaks in the range 10 to 80 degrees two-theta, by angle:
2θ = 18.63°, d = 4.762 Å, I = 64
2θ = 26.47°, d = 3.367 Å, I = 52
2θ = 32.57°, d = 2.749 Å, I = 1000
2θ = 37.79°, d = 2.381 Å, I = 491
2θ = 42.45°, d = 2.129 Å, I = 24
2θ = 46.73°, d = 1.944 Å, I = 18
2θ = 54.51°, d = 1.683 Å, I = 318
2θ = 58.12°, d = 1.587 Å, I = 10
2θ = 64.96°, d = 1.436 Å, I = 360
2θ = 68.23°, d = 1.375 Å, I = 102

=====

Starting from a crystal structure in the Materials Project, relaxed with PBE, the XRD peak list of CaMg was simulated for a wavelength of 1.5418 Å.
Kinematic intensities with the Lorentz-polarization factor, no thermal factor.

Atomic structure:
Cell: 5.3183 5.3492 13.2282 Å, 90.00 90.00 90.00°
Atoms (fractional coordinates):
1 Ca 0.0000 0.0000 0.0000
2 Ca 0.0000 0.0000 0.3110
3 Ca 0.0000 0.5000 0.5000
4 Ca 0.0000 0.5000 0.8110
5 Ca 0.5000 0.0000 0.8051
6 Ca 0.5000 0.5000 0.3051
7 Mg 0.0000 0.0000 0.6475
8 Mg 0.0000 0.5000 0.1475
9 Mg 0.5000 0.0000 0.1406
10 Mg 0.5000 0.0000 0.5039
11 Mg 0.5000 0.5000 0.0039
12 Mg 0.5000 0.5000 0.6406

Principal peaks in the range 10 to 80 degrees two-theta, by angle:
2θ = 31.21°, d = 2.866 Å, I = 1000
2θ = 33.50°, d = 2.675 Å, I = 216
2θ = 33.71°, d = 2.659 Å, I = 213
2θ = 40.93°, d = 2.205 Å, I = 96
2θ = 48.26°, d = 1.886 Å, I = 144
2θ = 53.89°, d = 1.701 Å, I = 80
2θ = 54.03°, d = 1.697 Å, I = 80
2θ = 58.47°, d = 1.579 Å, I = 146
2θ = 58.73°, d = 1.572 Å, I = 144
2θ = 65.09°, d = 1.433 Å, I = 86

=====

Starting from a crystal structure in the Materials Project, relaxed with PBE, the XRD peak list of CaMg3 was simulated for a wavelength of 1.5418 Å.
Kinematic intensities with the Lorentz-polarization factor, no thermal factor.

Atomic structure:
Cell: 6.8086 6.8086 5.3815 Å, 90.00 90.00 120.00°
Atoms (fractional coordinates):
1 Ca 0.3333 0.6667 0.2500
2 Ca 0.6667 0.3333 0.7500
3 Mg 0.1604 0.3209 0.7500
4 Mg 0.1604 0.8396 0.7500
5 Mg 0.3209 0.1604 0.2500
6 Mg 0.6791 0.8396 0.7500
7 Mg 0.8396 0.1604 0.2500
8 Mg 0.8396 0.6791 0.2500

Principal peaks in the range 10 to 80 degrees two-theta, by angle:
2θ = 22.37°, d = 3.975 Å, I = 84
2θ = 30.32°, d = 2.948 Å, I = 243
2θ = 33.30°, d = 2.691 Å, I = 252
2θ = 34.69°, d = 2.586 Å, I = 1000
2θ = 45.65°, d = 1.987 Å, I = 147
2θ = 53.86°, d = 1.702 Å, I = 172
2θ = 60.41°, d = 1.532 Å, I = 181
2θ = 64.81°, d = 1.438 Å, I = 189
2θ = 65.67°, d = 1.422 Å, I = 135
2θ = 73.21°, d = 1.293 Å, I = 32

=====

Starting from a crystal structure in the Materials Project, relaxed with PBE, the XRD peak list of CaMg2 was simulated for a wavelength of 1.5418 Å.
Kinematic intensities with the Lorentz-polarization factor, no thermal factor.

Atomic structure:
Cell: 3.4683 3.4683 16.7985 Å, 90.00 90.00 120.00°
Atoms (fractional coordinates):
1 Ca 0.3333 0.6667 0.2500
2 Ca 0.6667 0.3333 0.7500
3 Mg 0.3333 0.6667 0.5791
4 Mg 0.3333 0.6667 0.9209
5 Mg 0.6667 0.3333 0.0791
6 Mg 0.6667 0.3333 0.4209

Principal peaks in the range 10 to 80 degrees two-theta, by angle:
2θ = 10.53°, d = 8.399 Å, I = 98
2θ = 29.74°, d = 3.004 Å, I = 240
2θ = 30.23°, d = 2.957 Å, I = 50
2θ = 31.97°, d = 2.800 Å, I = 259
2θ = 33.87°, d = 2.647 Å, I = 1000
2θ = 44.22°, d = 2.048 Å, I = 150
2θ = 52.79°, d = 1.734 Å, I = 174
2θ = 58.19°, d = 1.585 Å, I = 184
2θ = 63.06°, d = 1.474 Å, I = 193
2θ = 64.21°, d = 1.451 Å, I = 138